No. 1
Diffraction record for Tb3Si2S8I. The powder XRD pattern is simulated, not measured: it uses a DFT-relaxed cell (PBE, the Materials Project) and Cu Kα, 1.54184 Å.

Atomic structure:
Cell lengths 8.772, 8.772, 10.695 Å; angles 98.16, 98.16, 51.96 degrees
Fractional coordinates of all 28 atoms:
Tb (0.112, 0.888, 0.750)
Tb (0.172, 0.424, 0.319)
Tb (0.424, 0.172, 0.819)
Tb (0.576, 0.828, 0.181)
Tb (0.828, 0.576, 0.681)
Tb (0.888, 0.112, 0.250)
Si (0.120, 0.196, 0.025)
Si (0.196, 0.120, 0.525)
Si (0.804, 0.880, 0.475)
Si (0.880, 0.804, 0.975)
S (0.050, 0.245, 0.830)
S (0.095, 0.769, 0.465)
S (0.108, 0.605, 0.854)
S (0.215, 0.351, 0.587)
S (0.231, 0.905, 0.035)
S (0.245, 0.050, 0.330)
S (0.351, 0.215, 0.087)
S (0.395, 0.892, 0.646)
S (0.605, 0.108, 0.354)
S (0.649, 0.785, 0.913)
S (0.755, 0.950, 0.670)
S (0.769, 0.095, 0.965)
S (0.785, 0.649, 0.413)
S (0.892, 0.395, 0.146)
S (0.905, 0.231, 0.535)
S (0.950, 0.755, 0.170)
I (0.482, 0.518, 0.250)
I (0.518, 0.482, 0.750)

Top 10 peaks for 2θ from 5° to 70°, by angle:
2θ = 16.79°, I = 100.0; 2θ = 23.33°, I = 43.4; 2θ = 24.66°, I = 75.2; 2θ = 26.21°, I = 56.7; 2θ = 32.91°, I = 81.0; 2θ = 34.56°, I = 46.6; 2θ = 34.98°, I = 36.2; 2θ = 35.54°, I = 37.0; 2θ = 38.04°, I = 32.8; 2θ = 39.42°, I = 40.9

=====

No. 2
Diffraction record for MgTi2S4. The powder XRD pattern is simulated, not measured: it uses a DFT-relaxed cell (PBE, the Materials Project) and Cu Kα, 1.54184 Å.

Atomic structure:
Cell lengths 7.324, 7.324, 7.324 Å; angles 60.00, 60.00, 60.00 degrees
Fractional coordinates of all 14 atoms:
Mg (0.125, 0.125, 0.125)
Mg (0.875, 0.875, 0.875)
Ti (0.000, 0.500, 0.500)
Ti (0.500, 0.000, 0.500)
Ti (0.500, 0.500, 0.000)
Ti (0.500, 0.500, 0.500)
S (0.259, 0.259, 0.259)
S (0.259, 0.259, 0.722)
S (0.259, 0.722, 0.259)
S (0.278, 0.741, 0.741)
S (0.722, 0.259, 0.259)
S (0.741, 0.278, 0.741)
S (0.741, 0.741, 0.278)
S (0.741, 0.741, 0.741)

Top 10 peaks for 2θ from 5° to 70°, by angle:
2θ = 14.81°, I = 52.6; 2θ = 24.30°, I = 10.2; 2θ = 28.58°, I = 66.7; 2θ = 34.64°, I = 100.0; 2θ = 45.50°, I = 39.2; 2θ = 49.80°, I = 99.1; 2θ = 52.25°, I = 8.9; 2θ = 58.42°, I = 8.0; 2θ = 62.08°, I = 19.0; 2θ = 69.73°, I = 11.6

=====

No. 3
Diffraction record for SnSO4. The powder XRD pattern is simulated, not measured: it uses a DFT-relaxed cell (PBE, the Materials Project) and Cu Kα, 1.54184 Å.

Atomic structure:
Cell lengths 9.116, 5.417, 7.370 Å; angles 90.00, 90.00, 90.00 degrees
Fractional coordinates of all 24 atoms:
Sn (0.210, 0.250, 0.222)
Sn (0.290, 0.750, 0.722)
Sn (0.710, 0.250, 0.278)
Sn (0.790, 0.750, 0.778)
S (0.083, 0.250, 0.676)
S (0.417, 0.750, 0.176)
S (0.583, 0.250, 0.824)
S (0.917, 0.750, 0.324)
O (0.068, 0.750, 0.391)
O (0.109, 0.025, 0.791)
O (0.109, 0.475, 0.791)
O (0.197, 0.250, 0.528)
O (0.303, 0.750, 0.028)
O (0.391, 0.525, 0.291)
O (0.391, 0.975, 0.291)
O (0.432, 0.250, 0.891)
O (0.568, 0.750, 0.109)
O (0.609, 0.025, 0.709)
O (0.609, 0.475, 0.709)
O (0.697, 0.250, 0.972)
O (0.803, 0.750, 0.472)
O (0.891, 0.525, 0.209)
O (0.891, 0.975, 0.209)
O (0.932, 0.250, 0.609)

Top 10 peaks for 2θ from 5° to 70°, by angle:
2θ = 19.48°, I = 26.5; 2θ = 20.35°, I = 31.0; 2θ = 24.15°, I = 49.7; 2θ = 25.54°, I = 34.7; 2θ = 28.31°, I = 100.0; 2θ = 33.07°, I = 25.9; 2θ = 35.44°, I = 17.1; 2θ = 40.31°, I = 17.4; 2θ = 41.50°, I = 26.8; 2θ = 45.15°, I = 15.5

=====

No. 4
Diffraction record for CuPtN4Cl4. The powder XRD pattern is simulated, not measured: it uses a DFT-relaxed cell (PBE, the Materials Project) and Cu Kα, 1.54184 Å.

Atomic structure:
Cell lengths 9.183, 9.183, 4.931 Å; angles 90.00, 90.00, 90.00 degrees
Fractional coordinates of all 20 atoms:
Cu (0.000, 0.000, 0.000)
Cu (0.500, 0.500, 0.500)
Pt (0.000, 0.000, 0.500)
Pt (0.500, 0.500, 0.000)
N (0.003, 0.210, 0.000)
N (0.210, 0.997, 0.000)
N (0.290, 0.497, 0.500)
N (0.497, 0.710, 0.500)
N (0.503, 0.290, 0.500)
N (0.710, 0.503, 0.500)
N (0.790, 0.003, 0.000)
N (0.997, 0.790, 0.000)
Cl (0.000, 0.252, 0.500)
Cl (0.000, 0.748, 0.500)
Cl (0.248, 0.500, 0.000)
Cl (0.252, 0.000, 0.500)
Cl (0.500, 0.248, 0.000)
Cl (0.500, 0.752, 0.000)
Cl (0.748, 0.000, 0.500)
Cl (0.752, 0.500, 0.000)

Top 10 peaks for 2θ from 5° to 70°, by angle:
2θ = 13.64°, I = 100.0; 2θ = 19.33°, I = 42.3; 2θ = 20.44°, I = 26.5; 2θ = 30.79°, I = 24.2; 2θ = 36.44°, I = 12.8; 2θ = 39.08°, I = 15.1; 2θ = 39.24°, I = 19.4; 2θ = 41.58°, I = 11.9; 2θ = 48.43°, I = 14.0; 2θ = 54.63°, I = 13.8

=====

No. 5
Diffraction record for TmAsSe. The powder XRD pattern is simulated, not measured: it uses a DFT-relaxed cell (PBE, the Materials Project) and Cu Kα, 1.54184 Å.

Atomic structure:
Cell lengths 17.405, 3.873, 3.886 Å; angles 90.00, 90.00, 90.00 degrees
Fractional coordinates of all 12 atoms:
Tm (0.139, 0.250, 0.241)
Tm (0.361, 0.750, 0.741)
Tm (0.639, 0.250, 0.259)
Tm (0.861, 0.750, 0.759)
As (0.001, 0.250, 0.726)
As (0.499, 0.750, 0.226)
As (0.501, 0.250, 0.774)
As (0.999, 0.750, 0.274)
Se (0.188, 0.750, 0.742)
Se (0.312, 0.250, 0.242)
Se (0.688, 0.750, 0.758)
Se (0.812, 0.250, 0.258)

Top 10 peaks for 2θ from 5° to 70°, by angle:
2θ = 25.13°, I = 38.4; 2θ = 30.83°, I = 23.9; 2θ = 32.64°, I = 24.3; 2θ = 34.27°, I = 38.9; 2θ = 38.78°, I = 100.0; 2θ = 46.75°, I = 15.7; 2θ = 46.91°, I = 16.0; 2θ = 62.31°, I = 10.4; 2θ = 62.41°, I = 10.9; 2θ = 69.16°, I = 12.1

=====

No. 6
Diffraction record for Nd15B6C20. The powder XRD pattern is simulated, not measured: it uses a DFT-relaxed cell (PBE, the Materials Project) and Cu Kα, 1.54184 Å.

Atomic structure:
Cell lengths 8.388, 8.449, 9.233 Å; angles 84.41, 84.76, 89.46 degrees
Fractional coordinates of all 41 atoms:
Nd (0.000, 0.000, 0.000)
Nd (0.065, 0.861, 0.361)
Nd (0.132, 0.531, 0.643)
Nd (0.195, 0.594, 0.073)
Nd (0.259, 0.272, 0.368)
Nd (0.329, 0.933, 0.650)
Nd (0.403, 0.198, 0.008)
Nd (0.458, 0.657, 0.361)
Nd (0.542, 0.343, 0.639)
Nd (0.597, 0.802, 0.992)
Nd (0.671, 0.067, 0.350)
Nd (0.741, 0.728, 0.632)
Nd (0.805, 0.406, 0.927)
Nd (0.868, 0.469, 0.357)
Nd (0.935, 0.139, 0.639)
B (0.004, 0.798, 0.786)
B (0.188, 0.230, 0.793)
B (0.448, 0.608, 0.792)
B (0.552, 0.392, 0.208)
B (0.812, 0.770, 0.207)
B (0.996, 0.202, 0.214)
C (0.037, 0.832, 0.629)
C (0.074, 0.285, 0.077)
C (0.115, 0.295, 0.927)
C (0.167, 0.563, 0.353)
C (0.238, 0.236, 0.636)
C (0.306, 0.895, 0.102)
C (0.353, 0.942, 0.229)
C (0.367, 0.965, 0.369)
C (0.434, 0.640, 0.635)
C (0.494, 0.513, 0.925)
C (0.506, 0.487, 0.075)
C (0.566, 0.360, 0.365)
C (0.633, 0.035, 0.631)
C (0.647, 0.058, 0.771)
C (0.694, 0.105, 0.898)
C (0.762, 0.764, 0.364)
C (0.833, 0.437, 0.647)
C (0.885, 0.705, 0.073)
C (0.926, 0.715, 0.923)
C (0.963, 0.168, 0.371)

Top 10 peaks for 2θ from 5° to 70°, by angle:
2θ = 26.08°, I = 50.3; 2θ = 26.80°, I = 59.8; 2θ = 28.76°, I = 61.1; 2θ = 29.28°, I = 100.0; 2θ = 30.28°, I = 78.6; 2θ = 31.47°, I = 74.6; 2θ = 32.72°, I = 57.7; 2θ = 33.73°, I = 65.6; 2θ = 33.92°, I = 71.7; 2θ = 56.91°, I = 49.3